This entry pairs a crystal structure of PuTlFeO6 with its computed X-ray diffraction stick pattern. Radiation: λ = 1.5418 Å (Cu Kα). Structure: a DFT-relaxed cell (GGA+U, Alexandria).

```
PuTlFeO6
1.0
5.3950 0.0000 0.0000
-2.6975 4.6722 0.0000
0.0000 0.0000 9.6661
Pu Tl Fe O
2 2 2 12
direct
0.3333 0.6667 0.2500
0.6667 0.3333 0.7500
0.0000 0.0000 0.0000
0.0000 0.0000 0.5000
0.3333 0.6667 0.7500
0.6667 0.3333 0.2500
0.0035 0.3574 0.6373
0.0035 0.6461 0.8627
0.3539 0.3574 0.8627
0.3539 0.9965 0.6373
0.3574 0.0035 0.1373
0.3574 0.3539 0.3627
0.6426 0.6461 0.6373
0.6426 0.9965 0.8627
0.6461 0.0035 0.3627
0.6461 0.6426 0.1373
0.9965 0.3539 0.1373
0.9965 0.6426 0.3627
```

Largest 8 diffraction maxima, by angle, 15 to 90 degrees two-theta:
Position (°2θ)	I_rel
21.12	31
26.53	100
33.21	46
43.00	27
50.72	41
55.39	27
59.34	14
76.04	11